This entry pairs a crystal structure of MnVNiF6 with its calculated X-ray diffraction stick pattern. Radiation: copper Kα. Structure: a structure optimized by DFT (PBE+U).

Most intense lines, 10 to 80 degrees two-theta, in order of rising 2θ:
hkl 0 0 2, 2θ 19.16, rel. 14.7
hkl 1 0 2, 2θ 27.30, rel. 100.0
hkl 1 1 0, 2θ 33.69, rel. 27.3
hkl 1 1 2, 2θ 39.05, rel. 37.1
hkl 2 0 2, 2θ 43.89, rel. 25.6
hkl 1 1 4, 2θ 52.38, rel. 57.5
hkl 2 1 2, 2θ 56.45, rel. 22.9
hkl 3 0 0, 2θ 60.26, rel. 26.7
hkl 1 0 6, 2θ 63.56, rel. 7.7
hkl 4 -1 2, 2θ 77.48, rel. 8.3

Structure:
Cell lengths 5.3202, 5.3202, 9.2633 Å; angles 90.00, 90.00, 120.00 degrees
Space group P-31c (No. 163)
Symmetry-distinct sites (fractional):
Mn 0.0000 0.0000 0.0000 (multiplicity 2)
V 0.3333 0.6667 0.2500 (multiplicity 2)
Ni 0.3333 0.6667 0.7500 (multiplicity 2)
F 0.0124 0.3442 0.6312 (multiplicity 12)